Entry 1:
The following is a theoretical XRD peak list of Li4TiNi5P6O24. It was derived from a DFT-relaxed cell (PBE+U, the Materials Project), using λ = 1.5418 Å (Cu Kα).

Atomic structure:
```
data_Li4TiNi5P6O24
_cell_length_a 8.3895
_cell_length_b 8.4647
_cell_length_c 8.4832
_cell_angle_alpha 62.37
_cell_angle_beta 62.65
_cell_angle_gamma 62.59
_symmetry_space_group_name_H-M 'P 1'
_symmetry_Int_Tables_number 1
loop_
_symmetry_equiv_pos_as_xyz
'x,y,z'
loop_
_atom_site_label
_atom_site_fract_x
_atom_site_fract_y
_atom_site_fract_z
Li1 0.0000 0.0000 0.0000
Li2 0.1030 0.5050 0.8598
Li3 0.4613 0.7067 0.3002
Li4 0.8939 0.0684 0.5034
Ti1 0.8958 0.5074 0.3014
Ni1 0.1034 0.7103 0.5020
Ni2 0.2550 0.8557 0.6463
Ni3 0.3893 0.0029 0.7917
Ni4 0.6051 0.2132 0.0027
Ni5 0.7388 0.3581 0.1483
P1 0.0002 0.3091 0.7051
P2 0.1930 0.1091 0.1906
P3 0.3070 0.6069 0.0998
P4 0.5018 0.4010 0.6034
P5 0.6943 0.9141 0.4063
P6 0.8008 0.8145 0.9039
O1 0.0692 0.4617 0.6741
O2 0.1365 0.5334 0.1649
O3 0.1458 0.1100 0.7118
O4 0.1859 0.9513 0.3889
O5 0.1952 0.0515 0.0436
O6 0.2776 0.6745 0.2525
O7 0.2879 0.7679 0.9136
O8 0.3445 0.6018 0.5867
O9 0.3525 0.1804 0.1317
O10 0.4385 0.2484 0.6284
O11 0.4995 0.4533 0.0755
O12 0.5002 0.9144 0.5557
O13 0.5829 0.3605 0.7482
O14 0.6315 0.8582 0.8537
O15 0.6515 0.4402 0.3939
O16 0.6893 0.1004 0.2411
O17 0.7577 0.7438 0.3355
O18 0.7890 0.9572 0.9734
O19 0.8292 0.6070 0.0556
O20 0.8472 0.8806 0.4786
O21 0.8497 0.2833 0.9021
O22 0.9299 0.3688 0.5371
O23 0.9877 0.2630 0.2351
O24 0.9977 0.7905 0.7425
```

Most intense lines, 10 to 90 degrees two-theta, sorted by position:
2theta	Rel. int.	hkl
20.26	100	0 1 -1
24.08	34	0 1 2
24.18	34	1 0 2
24.33	34	2 1 0
33.29	33	1 3 2
33.47	30	2 3 1
33.67	28	3 2 1
35.47	59	-2 1 1



Entry 2:
The following is a theoretical XRD peak list of Li2Ti3NiP6O24. It was derived from a DFT-relaxed cell (PBE+U, the Materials Project), using λ = 1.5418 Å (Cu Kα).

Atomic structure:
```
data_Li2Ti3NiP6O24
_cell_length_a 8.6428
_cell_length_b 8.6428
_cell_length_c 21.3602
_cell_angle_alpha 90.00
_cell_angle_beta 90.00
_cell_angle_gamma 120.00
_symmetry_space_group_name_H-M 'R 3'
_symmetry_Int_Tables_number 146
_symmetry_space_group_name_Hall 'R 3'
loop_
_atom_site_label
_atom_site_fract_x
_atom_site_fract_y
_atom_site_fract_z
Li1 0.0000 0.0000 0.0000
Li2 0.0000 0.0000 0.4866
Ti1 0.0000 0.0000 0.3432
Ti2 0.0000 0.0000 0.6329
Ti3 0.0000 0.0000 0.8462
Ni1 0.0000 0.0000 0.1312
P1 0.0002 0.7092 0.7387
P2 0.0024 0.2920 0.2374
O1 0.0180 0.8331 0.4072
O2 0.0219 0.2076 0.1780
O3 0.0302 0.1924 0.9050
O4 0.1479 0.4791 0.9635
O5 0.1493 0.6728 0.4642
O6 0.1517 0.6740 0.3469
O7 0.1628 0.4863 0.2396
O8 0.1698 0.6961 0.7336
```

Most intense lines, 10 to 90 degrees two-theta, sorted by position:
2theta	Rel. int.	hkl
14.45	24	0 1 2
20.43	41	1 0 4
20.55	25	1 1 0
24.09	100	2 -1 3
29.14	29	0 2 4
32.59	30	2 -1 6
35.97	25	3 0 0
56.31	18	1 4 0



> What is the formula in the first record?

Li4TiNi5P6O24